# 1
This entry pairs a crystal structure of TlCd4Hg5 with its theoretical powder diffraction line list. Radiation: CuKα. Structure: DFT lattice parameters and positions (GGA-PBE).
Neutral-atom scattering factors, no anomalous dispersion.

Top 10 peaks for 15 to 90 degrees two-theta, low angle first:
hkl 0 1 5, d = 2.748 Å, I 100.0; hkl 1 0 5, d = 2.575 Å, I 85.2; hkl 1 1 0, d = 2.461 Å, I 80.2; hkl 0 0 10, d = 2.058 Å, I 17.0; hkl 0 2 0, d = 1.846 Å, I 17.0; hkl 2 0 0, d = 1.650 Å, I 11.9; hkl 1 1 10, d = 1.579 Å, I 29.2; hkl 1 2 5, d = 1.500 Å, I 32.4; hkl 2 1 5, d = 1.415 Å, I 26.2; hkl 2 0 10, d = 1.287 Å, I 12.8

abc: 3.3003 3.6923 20.5781
angles: 90.00 90.00 90.00
Space group Pmmm (No. 47)
Asymmetric unit:
Tl1 0.0000 0.0000 0.0000 (multiplicity 1)
Cd1 0.0000 0.0000 0.2115 (multiplicity 2)
Cd2 0.0000 0.0000 0.4041 (multiplicity 2)
Hg1 0.5000 0.5000 0.1142 (multiplicity 2)
Hg2 0.5000 0.5000 0.3076 (multiplicity 2)
Hg3 0.5000 0.5000 0.5000 (multiplicity 1)

***

# 2
This entry pairs a crystal structure of Tl6CdHg8 with its theoretical powder diffraction line list. Radiation: CuKα. Structure: DFT lattice parameters and positions (GGA-PBE).
Neutral-atom scattering factors, no anomalous dispersion.

Top 10 peaks for 15 to 90 degrees two-theta, low angle first:
hkl 2 1 0, d = 3.162 Å, I 26.7; hkl 2 1 1, d = 2.730 Å, I 100.0; hkl 0 0 2, d = 2.703 Å, I 17.3; hkl 2 -1 2, d = 2.359 Å, I 6.9; hkl 3 -2 2, d = 2.055 Å, I 16.1; hkl 1 4 0, d = 1.826 Å, I 18.7; hkl 2 1 3, d = 1.566 Å, I 13.0; hkl 6 -4 1, d = 1.518 Å, I 13.7; hkl 1 4 2, d = 1.513 Å, I 14.5; hkl 7 0 1, d = 1.167 Å, I 7.0

abc: 9.6606 9.6606 5.4064
angles: 90.00 90.00 120.00
Space group P-3 (No. 147)
Asymmetric unit:
Tl1 0.1060 0.4645 0.2149 (multiplicity 6)
Cd1 0.0000 0.0000 0.0000 (multiplicity 1)
Hg1 0.0476 0.2740 0.7017 (multiplicity 6)
Hg2 0.3333 0.6667 0.7086 (multiplicity 2)

***

# 3
This entry pairs a crystal structure of Tl6Cd5Hg with its theoretical powder diffraction line list. Radiation: CuKα. Structure: DFT lattice parameters and positions (GGA-PBE).
Neutral-atom scattering factors, no anomalous dispersion.

Top 10 peaks for 15 to 90 degrees two-theta, low angle first:
hkl 1 1 0, d = 4.380 Å, I 20.7; hkl 1 1 1, d = 4.059 Å, I 10.6; hkl 2 0 2, d = 3.098 Å, I 15.9; hkl 1 1 3, d = 2.768 Å, I 100.0; hkl 3 0 0, d = 2.532 Å, I 90.2; hkl 1 1 4, d = 2.285 Å, I 15.7; hkl 2 2 3, d = 1.868 Å, I 27.9; hkl 4 1 3, d = 1.503 Å, I 25.3; hkl 3 3 0, d = 1.462 Å, I 18.1; hkl 3 0 6, d = 1.458 Å, I 15.8

abc: 8.7733 8.7733 10.7014
angles: 90.00 90.00 120.00
Space group P6_3/mcm (No. 193)
Asymmetric unit:
Tl1 0.0000 0.3179 0.0913 (multiplicity 12)
Cd1 0.0000 0.3656 0.7500 (multiplicity 6)
Cd2 0.3333 0.6667 0.0000 (multiplicity 4)
Hg1 0.0000 0.0000 0.2500 (multiplicity 2)

***

# 4
This entry pairs a crystal structure of TlCd4Hg4 with its theoretical powder diffraction line list. Radiation: CuKα. Structure: DFT lattice parameters and positions (GGA-PBE).
Neutral-atom scattering factors, no anomalous dispersion.

Top 10 peaks for 15 to 90 degrees two-theta, low angle first:
hkl 2 1 1, d = 3.182 Å, I 5.0; hkl 3 0 1, d = 2.686 Å, I 100.0; hkl 3 3 0, d = 2.363 Å, I 35.7; hkl 0 0 2, d = 2.258 Å, I 15.5; hkl 6 0 0, d = 1.671 Å, I 11.8; hkl 3 3 2, d = 1.632 Å, I 22.2; hkl 6 3 1, d = 1.419 Å, I 27.6; hkl 3 0 3, d = 1.373 Å, I 12.5; hkl 6 0 2, d = 1.343 Å, I 11.4; hkl 6 6 0, d = 1.181 Å, I 3.7

abc: 10.0248 10.0248 4.5161
angles: 90.00 90.00 90.00
Space group I4/mmm (No. 139)
Asymmetric unit:
Tl1 0.0000 0.0000 0.0000 (multiplicity 2)
Cd1 0.0000 0.3390 0.0000 (multiplicity 8)
Hg1 0.1722 0.1722 0.5000 (multiplicity 8)

***

# 5
This entry pairs a crystal structure of Tl2CdHg7 with its theoretical powder diffraction line list. Radiation: CuKα. Structure: DFT lattice parameters and positions (GGA-PBE).
Neutral-atom scattering factors, no anomalous dispersion.

Top 10 peaks for 15 to 90 degrees two-theta, low angle first:
hkl 0 2 -2, d = 2.921 Å, I 54.2; hkl 1 1 1, d = 2.740 Å, I 66.4; hkl 0 2 -3, d = 2.728 Å, I 36.7; hkl -1 1 2, d = 2.710 Å, I 66.2; hkl 0 0 5, d = 2.655 Å, I 100.0; hkl 1 -1 3, d = 2.620 Å, I 75.0; hkl 1 1 -3, d = 2.593 Å, I 35.2; hkl 0 2 2, d = 2.484 Å, I 42.7; hkl 1 1 -4, d = 2.349 Å, I 37.5; hkl 1 -3 1, d = 1.778 Å, I 42.0

abc: 3.4665 6.0050 13.6029
angles: 102.42 91.55 93.64
Space group P-1 (No. 2)
Asymmetric unit:
Tl1 0.0062 0.3547 0.1055 (multiplicity 2)
Cd1 0.5000 0.0000 0.5000 (multiplicity 1)
Hg1 0.0000 0.5000 0.5000 (multiplicity 1)
Hg2 0.0591 0.0953 0.3060 (multiplicity 2)
Hg3 0.4535 0.3938 0.6927 (multiplicity 2)
Hg4 0.4769 0.1414 0.8924 (multiplicity 2)

***

# 6
This entry pairs a crystal structure of TlCd5Hg5 with its theoretical powder diffraction line list. Radiation: CuKα. Structure: DFT lattice parameters and positions (GGA-PBE).
Neutral-atom scattering factors, no anomalous dispersion.

Top 10 peaks for 15 to 90 degrees two-theta, low angle first:
hkl 1 0 -3, d = 2.831 Å, I 81.8; hkl 1 1 -3, d = 2.793 Å, I 47.2; hkl 0 2 -2, d = 2.751 Å, I 36.0; hkl 1 -2 1, d = 2.739 Å, I 100.0; hkl -1 2 1, d = 2.539 Å, I 25.0; hkl -2 1 2, d = 2.532 Å, I 31.3; hkl 1 2 -1, d = 2.511 Å, I 28.9; hkl 2 1 -1, d = 2.494 Å, I 20.9; hkl 0 2 1, d = 2.424 Å, I 17.9; hkl 1 -1 3, d = 2.212 Å, I 29.4

abc: 5.9885 6.0167 8.8253
angles: 104.82 109.54 97.47
Space group P1 (No. 1)
Asymmetric unit:
Tl1 0.0000 0.0000 0.0000 (multiplicity 1)
Cd1 0.0922 0.5656 0.2603 (multiplicity 1)
Cd2 0.4356 0.9818 0.8688 (multiplicity 1)
Cd3 0.4702 0.5648 0.5895 (multiplicity 1)
Cd4 0.6012 0.0537 0.5443 (multiplicity 1)
Cd5 0.9636 0.7217 0.5808 (multiplicity 1)
Hg1 0.0601 0.0827 0.3887 (multiplicity 1)
Hg2 0.1439 0.3610 0.7707 (multiplicity 1)
Hg3 0.4876 0.7365 0.1447 (multiplicity 1)
Hg4 0.5914 0.3054 0.2642 (multiplicity 1)
Hg5 0.7378 0.4509 0.9062 (multiplicity 1)

***

# 7
This entry pairs a crystal structure of TlCd6Hg6 with its theoretical powder diffraction line list. Radiation: CuKα. Structure: DFT lattice parameters and positions (GGA-PBE).
Neutral-atom scattering factors, no anomalous dispersion.

Top 10 peaks for 15 to 90 degrees two-theta, low angle first:
hkl 1 1 0, d = 3.056 Å, I 81.7; hkl 1 0 3, d = 2.858 Å, I 33.0; hkl 2 0 0, d = 2.647 Å, I 32.3; hkl 1 1 2, d = 2.620 Å, I 100.0; hkl 0 0 4, d = 2.546 Å, I 22.3; hkl 2 0 2, d = 2.348 Å, I 58.5; hkl 1 0 4, d = 2.294 Å, I 32.7; hkl 3 0 2, d = 1.667 Å, I 25.9; hkl 2 2 0, d = 1.528 Å, I 33.4; hkl 1 1 6, d = 1.484 Å, I 32.9

abc: 6.1124 6.1124 10.1841
angles: 90.00 90.00 120.00
Space group P6/mmm (No. 191)
Asymmetric unit:
Tl1 0.0000 0.0000 0.0000 (multiplicity 1)
Cd1 0.0000 0.5000 0.2499 (multiplicity 6)
Hg1 0.0000 0.0000 0.3529 (multiplicity 2)
Hg2 0.3333 0.6667 0.0000 (multiplicity 2)
Hg3 0.3333 0.6667 0.5000 (multiplicity 2)

***

# 8
This entry pairs a crystal structure of Tl16Cd12Hg with its theoretical powder diffraction line list. Radiation: CuKα. Structure: DFT lattice parameters and positions (GGA-PBE).
Neutral-atom scattering factors, no anomalous dispersion.

Top 10 peaks for 15 to 90 degrees two-theta, low angle first:
hkl 2 2 -1, d = 4.783 Å, I 3.5; hkl 0 4 2, d = 2.929 Å, I 5.2; hkl 0 0 3, d = 2.761 Å, I 100.0; hkl 2 0 2, d = 2.498 Å, I 15.3; hkl 4 0 -4, d = 2.392 Å, I 9.7; hkl 4 4 -1, d = 2.298 Å, I 6.9; hkl 4 2 1, d = 1.953 Å, I 3.3; hkl 1 5 4, d = 1.595 Å, I 13.8; hkl 2 8 -4, d = 1.594 Å, I 16.3; hkl 6 6 -6, d = 1.380 Å, I 5.3

abc: 11.7126 16.5487 10.1532
angles: 90.00 125.20 90.00
Space group Cm (No. 8)
Asymmetric unit:
Tl1 0.0000 0.0000 0.0000 (multiplicity 2)
Tl2 0.0104 0.3417 0.9528 (multiplicity 4)
Tl3 0.0322 0.3220 0.3478 (multiplicity 4)
Tl4 0.1537 0.1978 0.6661 (multiplicity 4)
Tl5 0.2437 0.5000 0.0570 (multiplicity 2)
Tl6 0.3182 0.3639 0.3537 (multiplicity 4)
Tl7 0.3339 0.3016 0.0291 (multiplicity 4)
Tl8 0.3451 0.0000 0.7016 (multiplicity 2)
Tl9 0.3560 0.0000 0.3514 (multiplicity 2)
Tl10 0.4136 0.3417 0.7502 (multiplicity 4)
Cd1 0.0359 0.5000 0.1716 (multiplicity 2)
Cd2 0.0791 0.0896 0.3498 (multiplicity 4)
Cd3 0.1247 0.4073 0.7087 (multiplicity 4)
Cd4 0.1731 0.1843 0.1668 (multiplicity 4)
Cd5 0.2290 0.5000 0.5331 (multiplicity 2)
Cd6 0.2554 0.0919 0.9801 (multiplicity 4)
Cd7 0.3570 0.1844 0.5356 (multiplicity 4)
Hg1 0.0389 0.0000 0.6402 (multiplicity 2)

***

# 9
This entry pairs a crystal structure of TlCd3Hg3 with its theoretical powder diffraction line list. Radiation: CuKα. Structure: DFT lattice parameters and positions (GGA-PBE).
Neutral-atom scattering factors, no anomalous dispersion.

Top 10 peaks for 15 to 90 degrees two-theta, low angle first:
hkl 0 1 2, d = 2.933 Å, I 100.0; hkl 2 -1 1, d = 2.750 Å, I 83.9; hkl 2 1 -2, d = 2.703 Å, I 89.6; hkl 0 2 -3, d = 2.580 Å, I 65.0; hkl 0 3 -1, d = 2.384 Å, I 51.6; hkl -2 2 1, d = 2.292 Å, I 51.8; hkl 2 2 0, d = 2.129 Å, I 39.6; hkl 2 0 -4, d = 1.871 Å, I 25.8; hkl 2 4 -3, d = 1.516 Å, I 21.0; hkl 4 1 1, d = 1.375 Å, I 24.9

abc: 6.4406 7.2004 8.6321
angles: 110.77 101.40 93.63
Space group P-1 (No. 2)
Asymmetric unit:
Tl1 0.1088 0.1830 0.4409 (multiplicity 2)
Cd1 0.2119 0.5930 0.7737 (multiplicity 2)
Cd2 0.2582 0.0211 0.0230 (multiplicity 2)
Cd3 0.4663 0.2745 0.8594 (multiplicity 2)
Hg1 0.0242 0.7325 0.1400 (multiplicity 2)
Hg2 0.3107 0.4567 0.2762 (multiplicity 2)
Hg3 0.3974 0.8538 0.5863 (multiplicity 2)

***

Copy entry 6 word for word.
This entry pairs a crystal structure of TlCd5Hg5 with its theoretical powder diffraction line list. Radiation: CuKα. Structure: DFT lattice parameters and positions (GGA-PBE).
Neutral-atom scattering factors, no anomalous dispersion.

Top 10 peaks for 15 to 90 degrees two-theta, low angle first:
hkl 1 0 -3, d = 2.831 Å, I 81.8; hkl 1 1 -3, d = 2.793 Å, I 47.2; hkl 0 2 -2, d = 2.751 Å, I 36.0; hkl 1 -2 1, d = 2.739 Å, I 100.0; hkl -1 2 1, d = 2.539 Å, I 25.0; hkl -2 1 2, d = 2.532 Å, I 31.3; hkl 1 2 -1, d = 2.511 Å, I 28.9; hkl 2 1 -1, d = 2.494 Å, I 20.9; hkl 0 2 1, d = 2.424 Å, I 17.9; hkl 1 -1 3, d = 2.212 Å, I 29.4

abc: 5.9885 6.0167 8.8253
angles: 104.82 109.54 97.47
Space group P1 (No. 1)
Asymmetric unit:
Tl1 0.0000 0.0000 0.0000 (multiplicity 1)
Cd1 0.0922 0.5656 0.2603 (multiplicity 1)
Cd2 0.4356 0.9818 0.8688 (multiplicity 1)
Cd3 0.4702 0.5648 0.5895 (multiplicity 1)
Cd4 0.6012 0.0537 0.5443 (multiplicity 1)
Cd5 0.9636 0.7217 0.5808 (multiplicity 1)
Hg1 0.0601 0.0827 0.3887 (multiplicity 1)
Hg2 0.1439 0.3610 0.7707 (multiplicity 1)
Hg3 0.4876 0.7365 0.1447 (multiplicity 1)
Hg4 0.5914 0.3054 0.2642 (multiplicity 1)
Hg5 0.7378 0.4509 0.9062 (multiplicity 1)

***

Repeat the eighth record exactly.
This entry pairs a crystal structure of Tl16Cd12Hg with its theoretical powder diffraction line list. Radiation: CuKα. Structure: DFT lattice parameters and positions (GGA-PBE).
Neutral-atom scattering factors, no anomalous dispersion.

Top 10 peaks for 15 to 90 degrees two-theta, low angle first:
hkl 2 2 -1, d = 4.783 Å, I 3.5; hkl 0 4 2, d = 2.929 Å, I 5.2; hkl 0 0 3, d = 2.761 Å, I 100.0; hkl 2 0 2, d = 2.498 Å, I 15.3; hkl 4 0 -4, d = 2.392 Å, I 9.7; hkl 4 4 -1, d = 2.298 Å, I 6.9; hkl 4 2 1, d = 1.953 Å, I 3.3; hkl 1 5 4, d = 1.595 Å, I 13.8; hkl 2 8 -4, d = 1.594 Å, I 16.3; hkl 6 6 -6, d = 1.380 Å, I 5.3

abc: 11.7126 16.5487 10.1532
angles: 90.00 125.20 90.00
Space group Cm (No. 8)
Asymmetric unit:
Tl1 0.0000 0.0000 0.0000 (multiplicity 2)
Tl2 0.0104 0.3417 0.9528 (multiplicity 4)
Tl3 0.0322 0.3220 0.3478 (multiplicity 4)
Tl4 0.1537 0.1978 0.6661 (multiplicity 4)
Tl5 0.2437 0.5000 0.0570 (multiplicity 2)
Tl6 0.3182 0.3639 0.3537 (multiplicity 4)
Tl7 0.3339 0.3016 0.0291 (multiplicity 4)
Tl8 0.3451 0.0000 0.7016 (multiplicity 2)
Tl9 0.3560 0.0000 0.3514 (multiplicity 2)
Tl10 0.4136 0.3417 0.7502 (multiplicity 4)
Cd1 0.0359 0.5000 0.1716 (multiplicity 2)
Cd2 0.0791 0.0896 0.3498 (multiplicity 4)
Cd3 0.1247 0.4073 0.7087 (multiplicity 4)
Cd4 0.1731 0.1843 0.1668 (multiplicity 4)
Cd5 0.2290 0.5000 0.5331 (multiplicity 2)
Cd6 0.2554 0.0919 0.9801 (multiplicity 4)
Cd7 0.3570 0.1844 0.5356 (multiplicity 4)
Hg1 0.0389 0.0000 0.6402 (multiplicity 2)